Record 1
For Ba2CrSb2, a PBE-relaxed structure gives the simulated powder diffraction line list in this record (λ = 1.5418 Å (Cu Kα)).
Lines closer than 0.1° are merged.

The 6 most intense peaks (2θ from 10° to 90°), in order of falling intensity:
d [Å]	2theta	I/Imax	h k l
2.955	30.24	100	2 1 1
2.701	33.17	22	0 0 2
2.497	35.97	21	3 1 0
1.833	49.74	16	3 1 2
1.604	57.46	16	2 1 3
3.187	28.00	14	2 0 1

Crystal structure
a b c (Å): 7.895 7.895 5.401
angles (deg): 90.00 90.00 90.00
Space group P4/mbm (No. 127)
One atom of each set of equivalent atoms:
Ba 0.175 0.325 0.000
Cr 0.000 0.000 0.500
Sb 0.135 0.635 0.500


Record 2
For BaTl2CrSe, a PBE-relaxed structure gives the simulated powder diffraction line list in this record (λ = 1.5418 Å (Cu Kα)).
Lines closer than 0.1° are merged.

The 6 most intense peaks (2θ from 10° to 90°), in order of falling intensity:
d [Å]	2theta	I/Imax	h k l
3.342	26.67	100	2 0 0
3.699	24.06	94	1 1 1
5.942	14.91	67	0 0 1
2.220	40.63	65	2 0 2
2.913	30.69	49	2 0 1
2.363	38.08	39	2 2 0

Crystal structure
a b c (Å): 6.684 6.684 5.942
angles (deg): 90.00 90.00 90.00
Space group P4/mmm (No. 123)
One atom of each set of equivalent atoms:
Ba 0.000 0.000 0.000
Tl 0.000 0.500 0.000
Cr 0.500 0.500 0.500
Se 0.000 0.000 0.500


Record 3
For Ba2ZrTiCr, a PBE-relaxed structure gives the simulated powder diffraction line list in this record (λ = 1.5418 Å (Cu Kα)).
Lines closer than 0.1° are merged.

The 6 most intense peaks (2θ from 10° to 90°), in order of falling intensity:
d [Å]	2theta	I/Imax	h k l
3.199	27.89	100	2 0 0
3.289	27.11	75	1 1 1
1.917	47.42	45	2 0 2
4.789	18.53	41	0 0 1
2.262	39.85	37	2 2 0
2.660	33.69	37	2 0 1

Crystal structure
a b c (Å): 6.398 6.398 4.789
angles (deg): 90.00 90.00 90.00
Space group P4/mmm (No. 123)
One atom of each set of equivalent atoms:
Ba 0.000 0.500 0.000
Zr 0.000 0.000 0.000
Ti 0.000 0.000 0.500
Cr 0.500 0.500 0.500


Record 4
For BaCrW, a PBE-relaxed structure gives the simulated powder diffraction line list in this record (λ = 1.5418 Å (Cu Kα)).
Lines closer than 0.1° are merged.

The 6 most intense peaks (2θ from 10° to 90°), in order of falling intensity:
d [Å]	2theta	I/Imax	h k l
2.615	34.29	100	1 0 3
2.333	38.59	57	1 1 0
3.216	27.74	47	0 0 4
3.196	27.91	44	1 0 1
1.889	48.19	41	1 1 4
1.606	57.39	37	1 0 7

Crystal structure
a b c (Å): 3.300 3.300 12.864
angles (deg): 90.00 90.00 90.00
Space group I4mm (No. 107)
One atom of each set of equivalent atoms:
Ba 0.000 0.000 0.000
Cr 0.000 0.000 0.715
W 0.000 0.000 0.284


Record 5
For BaYCr4, a PBE-relaxed structure gives the simulated powder diffraction line list in this record (λ = 1.5418 Å (Cu Kα)).
Lines closer than 0.1° are merged.

The 6 most intense peaks (2θ from 10° to 90°), in order of falling intensity:
d [Å]	2theta	I/Imax	h k l
2.263	39.83	100	3 1 1
2.654	33.78	56	2 2 0
1.445	64.51	30	5 1 1
1.327	71.04	22	4 4 0
1.532	60.42	20	4 2 2
2.167	41.68	19	2 2 2

Crystal structure
a b c (Å): 7.506 7.506 7.506
angles (deg): 90.00 90.00 90.00
Space group F-43m (No. 216)
One atom of each set of equivalent atoms:
Ba 0.000 0.000 0.000
Y 0.250 0.250 0.250
Cr 0.124 0.124 0.624


Record 6
For CsBa3, a PBE-relaxed structure gives the simulated powder diffraction line list in this record (λ = 1.5418 Å (Cu Kα)).
Lines closer than 0.1° are merged.

The 6 most intense peaks (2θ from 10° to 90°), in order of falling intensity:
d [Å]	2theta	I/Imax	h k l
3.813	23.33	100	1 1 1
3.302	27.00	52	2 0 0
1.991	45.55	49	3 1 1
2.335	38.56	40	2 2 0
1.515	61.17	21	3 3 1
1.477	62.94	19	4 2 0

Crystal structure
a b c (Å): 6.604 6.604 6.604
angles (deg): 90.00 90.00 90.00
Space group Pm-3m (No. 221)
One atom of each set of equivalent atoms:
Cs 0.000 0.000 0.000
Ba 0.000 0.500 0.500